Theoretical XRD peak list
Compound: Cr2B2Os
Radiation: Cu Kα (weighted mean of Kα1 and Kα2)
Structure: DFT lattice parameters and positions (GGA-PBE)
No peak broadening, texture or thermal motion is included.

Top 10 peaks for 10 to 80 degrees two-theta, by angle:
d_spacing  2θ/deg  I_rel  (hkl)
4.002  22.21  100.0  1 1 0
2.830  31.62  33.3  2 0 0
2.415  37.23  86.3  1 1 2
2.068  43.78  79.5  2 0 2
2.001  45.32  31.1  2 2 0
1.942  46.77  18.7  2 1 2
1.790  51.03  57.6  3 1 0
1.670  55.00  17.8  2 2 2
1.541  60.04  21.2  3 1 2
1.221  78.31  18.6  3 3 2

```
data_Cr2B2Os
_chemical_formula_sum 'Cr8 B8 Os4'
_cell_length_a 5.660
_cell_length_b 5.660
_cell_length_c 6.058
_cell_angle_alpha 90.00
_cell_angle_beta 90.00
_cell_angle_gamma 90.00
_symmetry_space_group_name_H-M 'P 1'
_symmetry_Int_Tables_number 1
loop_
_symmetry_equiv_pos_as_xyz
'x,y,z'
loop_
_atom_site_label
_atom_site_type_symbol
_atom_site_fract_x
_atom_site_fract_y
_atom_site_fract_z
Cr1 Cr 0.153 0.317 0.000
Cr2 Cr 0.183 0.347 0.500
Cr3 Cr 0.317 0.847 0.000
Cr4 Cr 0.347 0.817 0.500
Cr5 Cr 0.653 0.183 0.500
Cr6 Cr 0.683 0.153 0.000
Cr7 Cr 0.817 0.653 0.500
Cr8 Cr 0.847 0.683 0.000
B1 B 0.116 0.616 0.250
B2 B 0.116 0.616 0.750
B3 B 0.384 0.116 0.250
B4 B 0.384 0.116 0.750
B5 B 0.616 0.884 0.250
B6 B 0.616 0.884 0.750
B7 B 0.884 0.384 0.250
B8 B 0.884 0.384 0.750
Os1 Os 0.000 0.000 0.282
Os2 Os 0.000 0.000 0.718
Os3 Os 0.500 0.500 0.218
Os4 Os 0.500 0.500 0.782
```